Simulated powder XRD pattern of Cs2ZrSeF6 for λ = 1.5418 Å (Cu Kα), from a crystal structure in Alexandria, relaxed with PBE.
Intensities are scaled so that the largest is 100.

Cell and atoms:
Unit cell a=6.872 b=6.872 c=10.814 alpha=90.00 beta=90.00 gamma=90.00
Space group I4/mmm (No. 139)
Unique sites:
Cs (0.000, 0.500, 0.250) x4
Zr (0.000, 0.000, 0.000) x2
Se (0.000, 0.000, 0.500) x2
F (0.000, 0.000, 0.189) x4
F (0.210, 0.210, 0.000) x8

Largest 10 diffraction maxima, low angle first, 2θ = 10–90°:
2θ 24.63, I 100, (1 1 2)
2θ 25.93, I 43, (2 0 0)
2θ 30.83, I 12, (2 0 2)
2θ 33.14, I 18, (0 0 4)
2θ 37.00, I 29, (2 2 0)
2θ 42.55, I 18, (2 0 4)
2θ 44.96, I 36, (3 1 2)
2θ 50.50, I 20, (2 2 4)
2θ 54.29, I 14, (1 1 6)
2θ 67.52, I 13, (3 1 6)